1.
Diffraction record for K2LiS2. The powder diffraction line list is theoretical, not measured: it uses a PBE-relaxed structure and Cu Kα (λ = 1.5418 Å).
Kinematic intensities with the Lorentz-polarization factor, no thermal factor.

Peak list (8 most intense, 10 to 90 degrees two-theta, by angle)
d/Å  two_theta  intensity
7.438  11.90  21
4.223  21.04  100
3.719  23.93  15
2.986  29.92  38
2.791  32.07  27
2.328  38.67  15
2.138  42.27  22
1.889  48.18  17

Atomic structure:
```
K2LiS2
1.0
4.223 0.000 0.000
0.000 4.223 0.000
0.000 0.000 14.876
K Li S
2 1 2
Cartesian
0.000 0.000 2.341
0.000 0.000 12.535
0.000 0.000 7.438
0.000 0.000 5.149
0.000 0.000 9.727
```



2.
Diffraction record for Mn5Ge2. The powder diffraction line list is theoretical, not measured: it uses a PBE-relaxed structure and Cu Kα (λ = 1.5418 Å).
Kinematic intensities with the Lorentz-polarization factor, no thermal factor.

Peak list (8 most intense, 10 to 90 degrees two-theta, by angle)
d/Å  two_theta  intensity
2.373  37.92  28
2.141  42.21  23
2.068  43.76  100
1.984  45.73  99
1.962  46.27  22
1.947  46.64  94
1.185  81.14  21
1.117  87.30  24

Atomic structure:
```
Mn5Ge2
1.0
-2.987 5.734 2.654
2.987 -5.734 2.654
2.987 5.734 -2.654
Mn Ge
10 4
Cartesian
2.987 3.091 -1.327
4.265 1.252 0.000
0.000 0.000 1.327
1.277 4.482 0.000
0.000 2.643 1.327
2.987 3.091 1.327
1.710 1.252 2.654
0.000 0.000 3.981
-1.277 4.482 2.654
0.000 2.643 3.981
1.709 1.335 0.000
1.709 -1.335 2.654
1.279 7.069 0.000
1.279 4.399 2.654
```